Li2CrH4O6: theoretical powder diffraction line list (Cu Kα), based on a structure optimized by DFT (PBE+U).
Peak positions follow from Bragg's law for the DFT cell and can differ from measured ones.

Most intense lines, 2θ = 10–90°, sorted by position:
Position (°2θ), I (rel.), index
13.51, 36, 0 1 1
18.54, 93, 0 1 2
19.52, 69, 1 1 0
20.86, 71, 1 1 1
21.59, 100, 1 0 2
24.01, 49, 0 2 1
24.80, 53, 0 1 3
27.91, 59, 1 2 0
28.88, 82, 1 2 1
29.44, 57, 0 0 4
31.94, 80, 2 0 0
35.80, 30, 1 2 3

Cell and atoms:
Cell: 5.603 7.785 12.135 Å, 90.00 90.00 90.00°
Atoms (fractional coordinates):
Li1 0.080 0.204 0.001
Li2 0.177 0.138 0.372
Li3 0.323 0.862 0.872
Li4 0.420 0.796 0.501
Li5 0.580 0.296 0.999
Li6 0.677 0.362 0.628
Li7 0.823 0.638 0.128
Li8 0.920 0.704 0.499
Cr1 0.176 0.118 0.635
Cr2 0.324 0.882 0.135
Cr3 0.676 0.382 0.365
Cr4 0.824 0.618 0.865
H1 0.165 0.715 0.314
H2 0.175 0.671 0.688
H3 0.239 0.515 0.614
H4 0.247 0.549 0.374
H5 0.253 0.451 0.874
H6 0.261 0.485 0.114
H7 0.325 0.329 0.188
H8 0.335 0.285 0.814
H9 0.665 0.785 0.686
H10 0.675 0.829 0.312
H11 0.739 0.985 0.386
H12 0.747 0.951 0.626
H13 0.753 0.049 0.126
H14 0.761 0.015 0.886
H15 0.825 0.171 0.812
H16 0.835 0.215 0.186
O1 0.117 0.657 0.849
O2 0.170 0.698 0.138
O3 0.199 0.670 0.388
O4 0.201 0.640 0.610
O5 0.222 0.017 0.515
O6 0.234 0.003 0.237
O7 0.266 0.997 0.737
O8 0.278 0.983 0.015
O9 0.299 0.360 0.110
O10 0.301 0.330 0.888
O11 0.330 0.302 0.638
O12 0.383 0.343 0.349
O13 0.617 0.843 0.151
O14 0.670 0.802 0.862
O15 0.699 0.830 0.612
O16 0.701 0.860 0.390
O17 0.722 0.483 0.485
O18 0.734 0.497 0.763
O19 0.766 0.503 0.263
O20 0.778 0.517 0.985
O21 0.799 0.140 0.890
O22 0.801 0.170 0.112
O23 0.830 0.198 0.362
O24 0.883 0.157 0.651